Entry 1:
This entry pairs a crystal structure of PmMnCr2O8 with its simulated powder diffraction line list. Radiation: Cu Kα (λ = 1.5418 Å). Structure: DFT lattice parameters and positions (GGA+U).

Most intense lines, 2θ = 10–90°, low angle first:
(hkl)  Position (°2θ)  I_rel
1 0 1  18.7  25
2 0 0  24.8  100
1 1 2  33.3  67
2 2 0  35.3  17
3 1 2  49.3  56
3 3 2  62.1  16

Atomic structure:
a = 7.1819 Å, b = 7.1819 Å, c = 6.3511 Å
α = 90.00°, β = 90.00°, γ = 90.00°
Space group I-4m2 (No. 119)
One atom of each set of equivalent atoms:
Pm1 0.0000 0.0000 0.0000
Mn1 0.0000 0.5000 0.2500
Cr1 0.0000 0.0000 0.5000
Cr2 0.0000 0.5000 0.7500
O1 0.0000 0.1891 0.3286
O2 0.0000 0.3184 0.9111

---

Entry 2:
This entry pairs a crystal structure of PuMn2CrO6 with its simulated powder diffraction line list. Radiation: Cu Kα (λ = 1.5418 Å). Structure: DFT lattice parameters and positions (GGA+U).

Most intense lines, 2θ = 10–90°, low angle first:
(hkl)  Position (°2θ)  I_rel
1 0 1  19.9  74
0 1 2  22.6  79
1 0 4  31.3  100
1 1 0  33.2  88
0 2 4  46.2  41
2 -1 6  50.8  48

Atomic structure:
a = 5.4043 Å, b = 5.4043 Å, c = 14.4559 Å
α = 90.00°, β = 90.00°, γ = 120.00°
Space group R3 (No. 146, hexagonal axes)
One atom of each set of equivalent atoms:
Pu1 0.0000 0.0000 0.0000
Mn1 0.0000 0.0000 0.2095
Mn2 0.0000 0.0000 0.7139
Cr1 0.0000 0.0000 0.5029
O1 0.0107 0.6339 0.7641
O2 0.0154 0.3020 0.5921

---

Entry 3:
This entry pairs a crystal structure of RbMnCrO6 with its simulated powder diffraction line list. Radiation: Cu Kα (λ = 1.5418 Å). Structure: DFT lattice parameters and positions (GGA+U).

Most intense lines, 2θ = 10–90°, low angle first:
(hkl)  Position (°2θ)  I_rel
2 0 -1  22.3  72
2 0 1  22.8  83
1 1 -1  24.9  100
3 1 0  29.8  60
1 1 2  37.9  30
2 2 1  42.5  42

Atomic structure:
a = 11.1750 Å, b = 5.0747 Å, c = 5.5691 Å
α = 90.00°, β = 91.48°, γ = 90.00°
Space group Cm (No. 8)
One atom of each set of equivalent atoms:
Rb1 0.0000 0.0000 0.0000
Mn1 0.2902 0.0000 0.4428
Cr1 0.2029 0.5000 0.5717
O1 0.0901 0.5000 0.7462
O2 0.1827 0.2440 0.3355
O3 0.3123 0.2463 0.6756
O4 0.4031 0.0000 0.2704

---

Entry 4:
This entry pairs a crystal structure of MnCrSbO6 with its simulated powder diffraction line list. Radiation: Cu Kα (λ = 1.5418 Å). Structure: DFT lattice parameters and positions (GGA+U).

Most intense lines, 2θ = 10–90°, low angle first:
(hkl)  Position (°2θ)  I_rel
0 0 2  20.3  28
1 0 1  22.5  27
1 0 2  28.7  100
1 1 0  35.2  46
1 1 2  40.9  37
1 1 4  55.3  53

Atomic structure:
a = 5.1050 Å, b = 5.1050 Å, c = 8.7439 Å
α = 90.00°, β = 90.00°, γ = 120.00°
Space group P-31c (No. 163)
One atom of each set of equivalent atoms:
Mn1 0.0000 0.0000 0.0000
Cr1 0.3333 0.6667 0.2500
Sb1 0.3333 0.6667 0.7500
O1 0.0048 0.3444 0.1275

---

Entry 5:
This entry pairs a crystal structure of Mn2CrSbO6 with its simulated powder diffraction line list. Radiation: Cu Kα (λ = 1.5418 Å). Structure: DFT lattice parameters and positions (GGA+U).

Most intense lines, 2θ = 10–90°, low angle first:
(hkl)  Position (°2θ)  I_rel
0 2 0  32.8  46
1 1 1  33.1  100
1 1 -3  33.2  99
2 0 -2  33.8  42
2 2 -2  47.8  47
0 2 4  58.7  55

Atomic structure:
a = 5.3016 Å, b = 5.4601 Å, c = 9.3218 Å
α = 90.00°, β = 124.39°, γ = 90.00°
Space group P2_1/c (No. 14)
One atom of each set of equivalent atoms:
Mn1 0.2348 0.0513 0.2481
Cr1 0.0000 0.0000 0.5000
Sb1 0.5000 0.0000 0.0000
O1 0.1284 0.1915 0.9384
O2 0.2458 0.6948 0.9332
O3 0.3728 0.0563 0.7519

---

Entry 6:
This entry pairs a crystal structure of MnCrSb2O8 with its simulated powder diffraction line list. Radiation: Cu Kα (λ = 1.5418 Å). Structure: DFT lattice parameters and positions (GGA+U).

Most intense lines, 2θ = 10–90°, low angle first:
(hkl)  Position (°2θ)  I_rel
1 1 0  18.8  43
0 2 0  25.9  81
2 0 0  27.4  69
1 1 2  34.7  100
1 3 2  51.6  49
0 4 0  53.3  57

Atomic structure:
a = 6.5074 Å, b = 6.8750 Å, c = 6.1827 Å
α = 90.00°, β = 90.00°, γ = 90.00°
Space group Cmmm (No. 65)
One atom of each set of equivalent atoms:
Mn1 0.0000 0.0000 0.0000
Cr1 0.0000 0.0000 0.5000
Sb1 0.0000 0.5000 0.2480
O1 0.0000 0.3079 0.5000
O2 0.0000 0.3119 0.0000
O3 0.1932 0.0000 0.2482

---

Entry 7:
This entry pairs a crystal structure of MnCrSeO5 with its simulated powder diffraction line list. Radiation: Cu Kα (λ = 1.5418 Å). Structure: DFT lattice parameters and positions (GGA+U).

Most intense lines, 2θ = 10–90°, low angle first:
(hkl)  Position (°2θ)  I_rel
1 1 1  25.4  100
0 2 1  26.0  33
2 0 -2  32.4  84
2 2 0  32.6  69
1 3 -1  35.4  63
2 0 2  47.2  38

Atomic structure:
a = 7.6381 Å, b = 8.5730 Å, c = 6.1196 Å
α = 90.00°, β = 110.78°, γ = 90.00°
Space group C2/c (No. 15)
One atom of each set of equivalent atoms:
Mn1 0.2500 0.2500 0.0000
Cr1 0.0000 0.0168 0.2500
Se1 0.0000 0.4255 0.2500
O1 0.0000 0.2175 0.7500
O2 0.1494 0.2732 0.2420
O3 0.1921 0.0294 0.0613

---

Entry 8:
This entry pairs a crystal structure of MnCr2TcO8 with its simulated powder diffraction line list. Radiation: Cu Kα (λ = 1.5418 Å). Structure: DFT lattice parameters and positions (GGA+U).

Most intense lines, 2θ = 10–90°, low angle first:
(hkl)  Position (°2θ)  I_rel
1 0 -1  27.3  86
1 0 1  27.8  78
1 2 0  35.7  100
0 0 2  39.4  21
2 2 -1  53.9  53
2 2 1  54.5  47

Atomic structure:
a = 4.5708 Å, b = 6.0308 Å, c = 4.5792 Å
α = 90.00°, β = 91.07°, γ = 90.00°
Space group P2/m (No. 10)
One atom of each set of equivalent atoms:
Mn1 0.0000 0.0000 0.0000
Cr1 0.5000 0.2445 0.5000
Tc1 0.0000 0.5000 0.0000
O1 0.1923 0.2524 0.8098
O2 0.2973 0.5000 0.2990
O3 0.2987 0.0000 0.3013

---

Entry 9:
This entry pairs a crystal structure of Mn3Cr2Te3O16 with its simulated powder diffraction line list. Radiation: Cu Kα (λ = 1.5418 Å). Structure: DFT lattice parameters and positions (GGA+U).

Most intense lines, 2θ = 10–90°, low angle first:
(hkl)  Position (°2θ)  I_rel
2 0 -1  18.1  43
1 1 -1  19.0  42
0 0 2  19.3  100
2 2 1  35.6  55
2 2 -3  44.4  29
6 2 0  58.6  25

Atomic structure:
a = 11.1029 Å, b = 6.0334 Å, c = 9.2186 Å
α = 90.00°, β = 94.31°, γ = 90.00°
Space group Cm (No. 8)
One atom of each set of equivalent atoms:
Mn1 0.0000 0.0000 0.0000
Mn2 0.4126 0.2502 0.5073
Cr1 0.1511 0.0000 0.7107
Cr2 0.4766 0.0000 0.2387
Te1 0.1590 0.5000 0.4960
Te2 0.2487 0.2500 0.9947
O1 0.0086 0.5000 0.6063
O2 0.0716 0.2891 0.3613
O3 0.1042 0.2272 0.8705
O4 0.1781 0.5000 0.1040
O5 0.1873 0.0000 0.1144
O6 0.2290 0.2504 0.6070
O7 0.3055 0.0000 0.8664
O8 0.3162 0.5000 0.4064
O9 0.3163 0.5000 0.8837
O10 0.3572 0.0000 0.3804
O11 0.4014 0.2447 0.1039
O12 0.4870 0.5000 0.6174

---

Entry 10:
This entry pairs a crystal structure of YMnCrO5 with its simulated powder diffraction line list. Radiation: Cu Kα (λ = 1.5418 Å). Structure: DFT lattice parameters and positions (GGA+U).

Most intense lines, 2θ = 10–90°, low angle first:
(hkl)  Position (°2θ)  I_rel
1 2 1  28.5  70
2 1 1  30.9  100
1 3 0  33.6  47
1 1 2  34.7  37
2 1 2  41.0  21
3 2 1  45.9  24

Atomic structure:
a = 7.2261 Å, b = 8.6242 Å, c = 5.8535 Å
α = 90.00°, β = 90.00°, γ = 90.00°
Space group Pbam (No. 55)
One atom of each set of equivalent atoms:
Y1 0.1341 0.1742 0.0000
Mn1 0.0948 0.8499 0.5000
Cr1 0.0000 0.5000 0.2513
O1 0.0000 0.0000 0.2783
O2 0.1115 0.7104 0.2412
O3 0.1452 0.4153 0.5000
O4 0.1700 0.4454 0.0000